Structure and theoretical powder XRD pattern of AgGe2Se4 (DFT lattice parameters and positions (GGA-PBE); a wavelength of 1.5418 Å).
Peak positions follow from Bragg's law for the DFT cell and can differ from measured ones.

The 10 most intense peaks (2θ from 5° to 70°), by angle:
21.54 deg, I 13
26.70 deg, I 100
33.82 deg, I 7
35.29 deg, I 6
38.45 deg, I 8
43.90 deg, I 50
45.09 deg, I 22
51.06 deg, I 16
53.17 deg, I 27
65.67 deg, I 7

```
data_AgGe2Se4
_cell_length_a 5.687
_cell_length_b 5.687
_cell_length_c 5.991
_cell_angle_alpha 90.00
_cell_angle_beta 90.00
_cell_angle_gamma 90.00
_symmetry_space_group_name_H-M 'P -4 2 m'
_symmetry_Int_Tables_number 111
_symmetry_space_group_name_Hall 'P -4 2'
loop_
_atom_site_label
_atom_site_type_symbol
_atom_site_fract_x
_atom_site_fract_y
_atom_site_fract_z
Ag1 Ag 0.000 0.000 0.000
Ge1 Ge 0.000 0.500 0.500
Se1 Se 0.268 0.268 0.256
```

Structure and theoretical powder XRD pattern of AgGe2Se6 (DFT lattice parameters and positions (GGA-PBE); a wavelength of 1.5418 Å).
Peak positions follow from Bragg's law for the DFT cell and can differ from measured ones.

The 10 most intense peaks (2θ from 5° to 70°), by angle:
7.97 deg, I 100
8.42 deg, I 90
10.29 deg, I 45
12.78 deg, I 22
15.57 deg, I 12
17.10 deg, I 13
20.67 deg, I 27
27.81 deg, I 11
28.21 deg, I 12
31.56 deg, I 24

```
data_AgGe2Se6
_cell_length_a 6.396
_cell_length_b 10.833
_cell_length_c 11.415
_cell_angle_alpha 77.10
_cell_angle_beta 83.97
_cell_angle_gamma 82.83
_symmetry_space_group_name_H-M 'P -1'
_symmetry_Int_Tables_number 2
_symmetry_space_group_name_Hall '-P 1'
loop_
_atom_site_label
_atom_site_type_symbol
_atom_site_fract_x
_atom_site_fract_y
_atom_site_fract_z
Ag1 Ag 0.232 0.002 0.495
Ge1 Ge 0.125 0.871 0.231
Ge2 Ge 0.369 0.268 0.635
Se1 Se 0.004 0.111 0.967
Se2 Se 0.008 0.671 0.335
Se3 Se 0.016 0.059 0.300
Se4 Se 0.469 0.194 0.456
Se5 Se 0.492 0.479 0.606
Se6 Se 0.497 0.157 0.824
```

Structure and theoretical powder XRD pattern of TlAgGe2Se6 (DFT lattice parameters and positions (GGA-PBE); a wavelength of 1.5418 Å).
Peak positions follow from Bragg's law for the DFT cell and can differ from measured ones.

The 10 most intense peaks (2θ from 5° to 70°), by angle:
19.05 deg, I 48
20.31 deg, I 82
26.86 deg, I 100
27.29 deg, I 40
29.23 deg, I 44
29.75 deg, I 58
30.35 deg, I 35
37.52 deg, I 35
45.59 deg, I 43
48.17 deg, I 35

```
data_TlAgGe2Se6
_cell_length_a 13.760
_cell_length_b 13.801
_cell_length_c 6.649
_cell_angle_alpha 90.00
_cell_angle_beta 113.43
_cell_angle_gamma 90.00
_symmetry_space_group_name_H-M 'C 1 2/c 1'
_symmetry_Int_Tables_number 15
_symmetry_space_group_name_Hall '-C 2yc'
loop_
_atom_site_label
_atom_site_type_symbol
_atom_site_fract_x
_atom_site_fract_y
_atom_site_fract_z
Tl1 Tl 0.000 0.182 0.250
Ag1 Ag 0.000 0.319 0.750
Ge1 Ge 0.213 0.423 0.300
Se1 Se 0.103 0.070 0.614
Se2 Se 0.135 0.439 0.565
Se3 Se 0.145 0.270 0.118
```

Structure and theoretical powder XRD pattern of SiAg2GeTe4 (DFT lattice parameters and positions (GGA-PBE); a wavelength of 1.5418 Å).
Peak positions follow from Bragg's law for the DFT cell and can differ from measured ones.

The 10 most intense peaks (2θ from 5° to 70°), by angle:
23.18 deg, I 71
25.78 deg, I 100
36.40 deg, I 28
40.90 deg, I 75
43.12 deg, I 22
45.14 deg, I 36
48.43 deg, I 21
49.52 deg, I 18
57.67 deg, I 14
66.84 deg, I 16

```
data_SiAg2GeTe4
_cell_length_a 8.391
_cell_length_b 9.874
_cell_length_c 12.195
_cell_angle_alpha 90.00
_cell_angle_beta 90.00
_cell_angle_gamma 90.00
_symmetry_space_group_name_H-M 'F m m 2'
_symmetry_Int_Tables_number 42
_symmetry_space_group_name_Hall 'F 2 -2'
loop_
_atom_site_label
_atom_site_type_symbol
_atom_site_fract_x
_atom_site_fract_y
_atom_site_fract_z
Si1 Si 0.000 0.000 0.000
Ag1 Ag 0.250 0.250 0.243
Ge1 Ge 0.000 0.000 0.477
Te1 Te 0.000 0.221 0.896
Te2 Te 0.245 0.000 0.131
```

Structure and theoretical powder XRD pattern of Sm4AgGe (DFT lattice parameters and positions (GGA-PBE); a wavelength of 1.5418 Å).
Peak positions follow from Bragg's law for the DFT cell and can differ from measured ones.

The 10 most intense peaks (2θ from 5° to 70°), by angle:
8.26 deg, I 36
17.02 deg, I 31
29.37 deg, I 49
32.83 deg, I 34
33.36 deg, I 67
33.73 deg, I 100
35.19 deg, I 78
39.12 deg, I 30
45.03 deg, I 30
50.91 deg, I 26

```
data_Sm4AgGe
_cell_length_a 5.372
_cell_length_b 21.407
_cell_length_c 6.343
_cell_angle_alpha 90.00
_cell_angle_beta 90.00
_cell_angle_gamma 90.00
_symmetry_space_group_name_H-M 'C m c 21'
_symmetry_Int_Tables_number 36
_symmetry_space_group_name_Hall 'C 2c -2'
loop_
_atom_site_label
_atom_site_type_symbol
_atom_site_fract_x
_atom_site_fract_y
_atom_site_fract_z
Sm1 Sm 0.000 0.061 0.000
Sm2 Sm 0.000 0.206 0.249
Sm3 Sm 0.000 0.212 0.767
Sm4 Sm 0.000 0.377 0.016
Ag1 Ag 0.000 0.077 0.502
Ge1 Ge 0.000 0.342 0.508
```

Structure and theoretical powder XRD pattern of SmAgGe2 (DFT lattice parameters and positions (GGA-PBE); a wavelength of 1.5418 Å).
Peak positions follow from Bragg's law for the DFT cell and can differ from measured ones.

The 10 most intense peaks (2θ from 5° to 70°), by angle:
31.85 deg, I 22
32.23 deg, I 18
32.92 deg, I 100
34.13 deg, I 43
41.68 deg, I 37
42.99 deg, I 12
45.85 deg, I 24
46.45 deg, I 21
63.17 deg, I 15
63.68 deg, I 18

```
data_SmAgGe2
_cell_length_a 13.986
_cell_length_b 4.334
_cell_length_c 11.239
_cell_angle_alpha 90.00
_cell_angle_beta 90.00
_cell_angle_gamma 90.00
_symmetry_space_group_name_H-M 'P n m a'
_symmetry_Int_Tables_number 62
_symmetry_space_group_name_Hall '-P 2ac 2n'
loop_
_atom_site_label
_atom_site_type_symbol
_atom_site_fract_x
_atom_site_fract_y
_atom_site_fract_z
Sm1 Sm 0.047 0.250 0.248
Sm2 Sm 0.203 0.750 0.959
Ag1 Ag 0.059 0.250 0.545
Ag2 Ag 0.206 0.750 0.666
Ge1 Ge 0.045 0.250 0.979
Ge2 Ge 0.110 0.250 0.771
Ge3 Ge 0.134 0.750 0.447
Ge4 Ge 0.202 0.750 0.243
```

Structure and theoretical powder XRD pattern of Sm2Ag2Ge3 (DFT lattice parameters and positions (GGA-PBE); a wavelength of 1.5418 Å).
Peak positions follow from Bragg's law for the DFT cell and can differ from measured ones.

The 10 most intense peaks (2θ from 5° to 70°), by angle:
31.10 deg, I 31
32.48 deg, I 93
33.65 deg, I 100
35.23 deg, I 23
38.22 deg, I 21
40.26 deg, I 18
40.80 deg, I 45
42.38 deg, I 40
54.85 deg, I 13
60.28 deg, I 28

```
data_Sm2Ag2Ge3
_cell_length_a 4.423
_cell_length_b 18.840
_cell_length_c 7.177
_cell_angle_alpha 90.00
_cell_angle_beta 90.00
_cell_angle_gamma 90.00
_symmetry_space_group_name_H-M 'C m c m'
_symmetry_Int_Tables_number 63
_symmetry_space_group_name_Hall '-C 2c 2'
loop_
_atom_site_label
_atom_site_type_symbol
_atom_site_fract_x
_atom_site_fract_y
_atom_site_fract_z
Sm1 Sm 0.000 0.052 0.250
Sm2 Sm 0.000 0.153 0.750
Ag1 Ag 0.000 0.310 0.554
Ge1 Ge 0.000 0.222 0.250
Ge2 Ge 0.000 0.440 0.070
```

Structure and theoretical powder XRD pattern of SrSm2Ag2Ge2 (DFT lattice parameters and positions (GGA-PBE); a wavelength of 1.5418 Å).
Peak positions follow from Bragg's law for the DFT cell and can differ from measured ones.

The 10 most intense peaks (2θ from 5° to 70°), by angle:
18.41 deg, I 20
25.32 deg, I 24
31.02 deg, I 70
33.31 deg, I 70
38.73 deg, I 100
41.00 deg, I 23
50.42 deg, I 18
51.99 deg, I 20
62.60 deg, I 24
66.68 deg, I 19

```
data_SrSm2Ag2Ge2
_cell_length_a 4.6497
_cell_length_b 4.6497
_cell_length_c 28.9147
_cell_angle_alpha 90.00
_cell_angle_beta 90.00
_cell_angle_gamma 120.00
_symmetry_space_group_name_H-M 'R -3 m'
_symmetry_Int_Tables_number 166
_symmetry_space_group_name_Hall '-R 3 2"'
loop_
_atom_site_label
_atom_site_type_symbol
_atom_site_fract_x
_atom_site_fract_y
_atom_site_fract_z
Sr1 Sr 0.0000 0.0000 0.0000
Sm1 Sm 0.0000 0.0000 0.1292
Ag1 Ag 0.0000 0.0000 0.4073
Ge1 Ge 0.0000 0.0000 0.2504
```

Structure and theoretical powder XRD pattern of Sr2Ag3Sn4Ge (DFT lattice parameters and positions (GGA-PBE); a wavelength of 1.5418 Å).
Peak positions follow from Bragg's law for the DFT cell and can differ from measured ones.

The 10 most intense peaks (2θ from 5° to 70°), by angle:
20.29 deg, I 20
29.39 deg, I 47
30.77 deg, I 100
38.28 deg, I 71
40.60 deg, I 51
42.43 deg, I 33
48.98 deg, I 22
55.25 deg, I 24
58.46 deg, I 25
64.58 deg, I 24

```
data_Sr2Ag3Sn4Ge
_cell_length_a 4.703
_cell_length_b 4.703
_cell_length_c 11.948
_cell_angle_alpha 90.00
_cell_angle_beta 90.00
_cell_angle_gamma 90.00
_symmetry_space_group_name_H-M 'P -4 m 2'
_symmetry_Int_Tables_number 115
_symmetry_space_group_name_Hall 'P -4 -2'
loop_
_atom_site_label
_atom_site_type_symbol
_atom_site_fract_x
_atom_site_fract_y
_atom_site_fract_z
Sr1 Sr 0.000 0.500 0.247
Ag1 Ag 0.000 0.000 0.000
Ag2 Ag 0.000 0.500 0.641
Sn1 Sn 0.000 0.000 0.500
Sn2 Sn 0.000 0.500 0.868
Sn3 Sn 0.500 0.500 0.500
Ge1 Ge 0.500 0.500 0.000
```

Structure and theoretical powder XRD pattern of Sr2AgGe2 (DFT lattice parameters and positions (GGA-PBE); a wavelength of 1.5418 Å).
Peak positions follow from Bragg's law for the DFT cell and can differ from measured ones.

The 10 most intense peaks (2θ from 5° to 70°), by angle:
30.15 deg, I 66
30.41 deg, I 100
31.06 deg, I 31
35.56 deg, I 25
37.33 deg, I 19
37.94 deg, I 66
38.59 deg, I 47
44.15 deg, I 15
50.34 deg, I 16
59.67 deg, I 20

```
data_Sr2AgGe2
_cell_length_a 11.521
_cell_length_b 4.666
_cell_length_c 11.522
_cell_angle_alpha 90.00
_cell_angle_beta 118.78
_cell_angle_gamma 90.00
_symmetry_space_group_name_H-M 'C 1 2/m 1'
_symmetry_Int_Tables_number 12
_symmetry_space_group_name_Hall '-C 2y'
loop_
_atom_site_label
_atom_site_type_symbol
_atom_site_fract_x
_atom_site_fract_y
_atom_site_fract_z
Sr1 Sr 0.092 0.000 0.397
Sr2 Sr 0.204 0.500 0.159
Ag1 Ag 0.083 0.500 0.827
Ge1 Ge 0.055 0.000 0.930
Ge2 Ge 0.117 0.500 0.607
```

Structure and theoretical powder XRD pattern of Sr2Ag5Ge3 (DFT lattice parameters and positions (GGA-PBE); a wavelength of 1.5418 Å).
Peak positions follow from Bragg's law for the DFT cell and can differ from measured ones.

The 10 most intense peaks (2θ from 5° to 70°), by angle:
21.33 deg, I 9
30.58 deg, I 32
32.29 deg, I 100
40.41 deg, I 57
42.32 deg, I 35
43.98 deg, I 26
51.52 deg, I 15
58.48 deg, I 18
61.25 deg, I 19
68.40 deg, I 21

```
data_Sr2Ag5Ge3
_cell_length_a 4.464
_cell_length_b 4.464
_cell_length_c 11.603
_cell_angle_alpha 90.00
_cell_angle_beta 90.00
_cell_angle_gamma 90.00
_symmetry_space_group_name_H-M 'P -4 m 2'
_symmetry_Int_Tables_number 115
_symmetry_space_group_name_Hall 'P -4 -2'
loop_
_atom_site_label
_atom_site_type_symbol
_atom_site_fract_x
_atom_site_fract_y
_atom_site_fract_z
Sr1 Sr 0.000 0.500 0.244
Ag1 Ag 0.000 0.000 0.500
Ag2 Ag 0.000 0.500 0.647
Ag3 Ag 0.500 0.500 0.000
Ag4 Ag 0.500 0.500 0.500
Ge1 Ge 0.000 0.000 0.000
Ge2 Ge 0.000 0.500 0.869
```

Structure and theoretical powder XRD pattern of Sr3Ag2Ge3 (DFT lattice parameters and positions (GGA-PBE); a wavelength of 1.5418 Å).
Peak positions follow from Bragg's law for the DFT cell and can differ from measured ones.

The 10 most intense peaks (2θ from 5° to 70°), by angle:
30.36 deg, I 26
30.47 deg, I 100
30.88 deg, I 42
31.28 deg, I 31
33.46 deg, I 26
37.89 deg, I 68
38.87 deg, I 49
41.60 deg, I 22
50.71 deg, I 16
61.63 deg, I 18

```
data_Sr3Ag2Ge3
_cell_length_a 4.634
_cell_length_b 11.438
_cell_length_c 16.067
_cell_angle_alpha 90.00
_cell_angle_beta 90.00
_cell_angle_gamma 90.00
_symmetry_space_group_name_H-M 'C m c m'
_symmetry_Int_Tables_number 63
_symmetry_space_group_name_Hall '-C 2c 2'
loop_
_atom_site_label
_atom_site_type_symbol
_atom_site_fract_x
_atom_site_fract_y
_atom_site_fract_z
Sr1 Sr 0.000 0.093 0.250
Sr2 Sr 0.000 0.373 0.103
Ag1 Ag 0.000 0.333 0.610
Ge1 Ge 0.000 0.089 0.043
Ge2 Ge 0.000 0.198 0.750
```